No. 1
The following is a calculated powder XRD pattern of La2HgSb. It was derived from a GGA-PBE-relaxed structure, using Cu Kα, 1.54184 Å.
Peak positions follow from Bragg's law for the DFT cell and can differ from measured ones.

Peak list (10 most intense, 2θ = 15–90°, in order of rising 2θ)
27.4°, I = 100
39.1°, I = 78
48.4°, I = 28
56.4°, I = 4
56.6°, I = 9
63.8°, I = 12
63.9°, I = 24
70.8°, I = 9
70.9°, I = 18
84.0°, I = 6

Crystal structure
```
data_La2HgSb
_symmetry_space_group_name_H-M 'P 1'
_symmetry_Int_Tables_number 1
_cell_length_a 4.6022
_cell_length_b 4.6022
_cell_length_c 6.5299
_cell_angle_alpha 90.00
_cell_angle_beta 90.00
_cell_angle_gamma 90.00
loop_
_symmetry_equiv_pos_as_xyz
'x,y,z'
loop_
_atom_site_label
_atom_site_type_symbol
_atom_site_fract_x
_atom_site_fract_y
_atom_site_fract_z
La1 La 0.0000 0.0000 0.0000
La2 La 0.5000 0.5000 0.5000
Hg1 Hg 0.0000 0.0000 0.5000
Sb1 Sb 0.5000 0.5000 0.0000
```



No. 2
The following is a calculated powder XRD pattern of LaHgSbTe2. It was derived from a GGA-PBE-relaxed structure, using Cu Kα, 1.54184 Å.
Peak positions follow from Bragg's law for the DFT cell and can differ from measured ones.

Peak list (10 most intense, 2θ = 15–90°, in order of rising 2θ)
15.8°, I = 36
22.7°, I = 43
27.8°, I = 55
32.0°, I = 100
32.6°, I = 48
39.5°, I = 21
45.8°, I = 37
46.3°, I = 72
57.4°, I = 38
85.2°, I = 25

Crystal structure
```
data_LaHgSbTe2
_symmetry_space_group_name_H-M 'P 1'
_symmetry_Int_Tables_number 1
_cell_length_a 5.5989
_cell_length_b 5.5989
_cell_length_c 5.5000
_cell_angle_alpha 90.00
_cell_angle_beta 90.00
_cell_angle_gamma 90.00
loop_
_symmetry_equiv_pos_as_xyz
'x,y,z'
loop_
_atom_site_label
_atom_site_type_symbol
_atom_site_fract_x
_atom_site_fract_y
_atom_site_fract_z
La1 La 0.0000 0.0000 0.0000
Hg1 Hg 0.5000 0.5000 0.5000
Sb1 Sb 0.5000 0.5000 0.0000
Te1 Te 0.0000 0.5000 0.5000
Te2 Te 0.5000 0.0000 0.5000
```



No. 3
The following is a calculated powder XRD pattern of LaSc4Hg5. It was derived from a GGA-PBE-relaxed structure, using Cu Kα, 1.54184 Å.
Peak positions follow from Bragg's law for the DFT cell and can differ from measured ones.

Peak list (10 most intense, 2θ = 15–90°, in order of rising 2θ)
24.1°, I = 14
25.1°, I = 39
29.0°, I = 13
35.1°, I = 100
35.8°, I = 60
43.6°, I = 13
51.5°, I = 21
58.1°, I = 11
63.8°, I = 35
83.9°, I = 10

Crystal structure
```
data_LaSc4Hg5
_symmetry_space_group_name_H-M 'P 1'
_symmetry_Int_Tables_number 1
_cell_length_a 3.5495
_cell_length_b 3.5495
_cell_length_c 18.4465
_cell_angle_alpha 90.00
_cell_angle_beta 90.00
_cell_angle_gamma 90.00
loop_
_symmetry_equiv_pos_as_xyz
'x,y,z'
loop_
_atom_site_label
_atom_site_type_symbol
_atom_site_fract_x
_atom_site_fract_y
_atom_site_fract_z
La1 La 0.0000 0.0000 0.0000
Sc1 Sc 0.0000 0.0000 0.2160
Sc2 Sc 0.0000 0.0000 0.4054
Sc3 Sc 0.0000 0.0000 0.5946
Sc4 Sc 0.0000 0.0000 0.7840
Hg1 Hg 0.5000 0.5000 0.1246
Hg2 Hg 0.5000 0.5000 0.3107
Hg3 Hg 0.5000 0.5000 0.5000
Hg4 Hg 0.5000 0.5000 0.6893
Hg5 Hg 0.5000 0.5000 0.8754
```



No. 4
The following is a calculated powder XRD pattern of La2HgSe. It was derived from a GGA-PBE-relaxed structure, using Cu Kα, 1.54184 Å.
Peak positions follow from Bragg's law for the DFT cell and can differ from measured ones.

Peak list (10 most intense, 2θ = 15–90°, in order of rising 2θ)
28.7°, I = 45
29.0°, I = 100
30.8°, I = 27
34.1°, I = 30
38.5°, I = 60
39.1°, I = 33
43.2°, I = 23
49.2°, I = 20
59.7°, I = 18
67.6°, I = 20

Crystal structure
```
data_La2HgSe
_symmetry_space_group_name_H-M 'P 1'
_symmetry_Int_Tables_number 1
_cell_length_a 12.6141
_cell_length_b 12.6141
_cell_length_c 4.6113
_cell_angle_alpha 90.00
_cell_angle_beta 90.00
_cell_angle_gamma 160.91
loop_
_symmetry_equiv_pos_as_xyz
'x,y,z'
loop_
_atom_site_label
_atom_site_type_symbol
_atom_site_fract_x
_atom_site_fract_y
_atom_site_fract_z
La1 La 0.0720 0.9280 0.7500
La2 La 0.3126 0.6874 0.7500
La3 La 0.6874 0.3126 0.2500
La4 La 0.9280 0.0720 0.2500
Hg1 Hg 0.4574 0.5426 0.7500
Hg2 Hg 0.5426 0.4574 0.2500
Se1 Se 0.1920 0.8080 0.7500
Se2 Se 0.8080 0.1920 0.2500
```



No. 5
The following is a calculated powder XRD pattern of La6Sm2Hg. It was derived from a GGA-PBE-relaxed structure, using Cu Kα, 1.54184 Å.
Peak positions follow from Bragg's law for the DFT cell and can differ from measured ones.

Peak list (10 most intense, 2θ = 15–90°, in order of rising 2θ)
27.7°, I = 28
29.9°, I = 82
31.5°, I = 100
31.7°, I = 60
36.8°, I = 44
48.4°, I = 15
52.8°, I = 42
58.9°, I = 34
59.6°, I = 15
65.9°, I = 14

Crystal structure
```
data_La6Sm2Hg
_symmetry_space_group_name_H-M 'P 1'
_symmetry_Int_Tables_number 1
_cell_length_a 9.8306
_cell_length_b 9.8306
_cell_length_c 3.7625
_cell_angle_alpha 90.00
_cell_angle_beta 90.00
_cell_angle_gamma 120.00
loop_
_symmetry_equiv_pos_as_xyz
'x,y,z'
loop_
_atom_site_label
_atom_site_type_symbol
_atom_site_fract_x
_atom_site_fract_y
_atom_site_fract_z
La1 La 0.0000 0.3742 0.0000
La2 La 0.0000 0.7244 0.5000
La3 La 0.2756 0.2756 0.5000
La4 La 0.3742 0.0000 0.0000
La5 La 0.6258 0.6258 0.0000
La6 La 0.7244 0.0000 0.5000
Sm1 Sm 0.3333 0.6667 0.5000
Sm2 Sm 0.6667 0.3333 0.5000
Hg1 Hg 0.0000 0.0000 0.0000
```



No. 6
The following is a calculated powder XRD pattern of La6SmHg2. It was derived from a GGA-PBE-relaxed structure, using Cu Kα, 1.54184 Å.
Peak positions follow from Bragg's law for the DFT cell and can differ from measured ones.

Peak list (10 most intense, 2θ = 15–90°, in order of rising 2θ)
29.6°, I = 12
30.5°, I = 99
31.4°, I = 96
31.6°, I = 100
43.3°, I = 11
43.9°, I = 13
46.7°, I = 19
54.6°, I = 20
55.0°, I = 24
56.8°, I = 37

Crystal structure
```
data_La6SmHg2
_symmetry_space_group_name_H-M 'P 1'
_symmetry_Int_Tables_number 1
_cell_length_a 6.8741
_cell_length_b 6.8741
_cell_length_c 12.3794
_cell_angle_alpha 107.46
_cell_angle_beta 107.46
_cell_angle_gamma 32.84
loop_
_symmetry_equiv_pos_as_xyz
'x,y,z'
loop_
_atom_site_label
_atom_site_type_symbol
_atom_site_fract_x
_atom_site_fract_y
_atom_site_fract_z
La1 La 0.0237 0.0237 0.3371
La2 La 0.3087 0.3087 0.4073
La3 La 0.3166 0.3166 0.1244
La4 La 0.6834 0.6834 0.8756
La5 La 0.6913 0.6913 0.5927
La6 La 0.9763 0.9763 0.6629
Sm1 Sm 0.0000 0.0000 0.0000
Hg1 Hg 0.3605 0.3605 0.8076
Hg2 Hg 0.6395 0.6395 0.1924
```



No. 7
The following is a calculated powder XRD pattern of La2Sm3Hg4. It was derived from a GGA-PBE-relaxed structure, using Cu Kα, 1.54184 Å.
Peak positions follow from Bragg's law for the DFT cell and can differ from measured ones.

Peak list (10 most intense, 2θ = 15–90°, in order of rising 2θ)
31.9°, I = 100
33.4°, I = 98
46.8°, I = 35
55.8°, I = 16
58.7°, I = 36
59.7°, I = 19
66.6°, I = 9
70.1°, I = 12
76.6°, I = 13
79.1°, I = 15

Crystal structure
```
data_La2Sm3Hg4
_symmetry_space_group_name_H-M 'P 1'
_symmetry_Int_Tables_number 1
_cell_length_a 5.3681
_cell_length_b 5.3681
_cell_length_c 10.5772
_cell_angle_alpha 90.00
_cell_angle_beta 90.00
_cell_angle_gamma 120.00
loop_
_symmetry_equiv_pos_as_xyz
'x,y,z'
loop_
_atom_site_label
_atom_site_type_symbol
_atom_site_fract_x
_atom_site_fract_y
_atom_site_fract_z
La1 La 0.3333 0.6667 0.2872
La2 La 0.6667 0.3333 0.7128
Sm1 Sm 0.0000 0.0000 0.5000
Sm2 Sm 0.3333 0.6667 0.9158
Sm3 Sm 0.6667 0.3333 0.0842
Hg1 Hg 0.0000 0.0000 0.1479
Hg2 Hg 0.0000 0.0000 0.8521
Hg3 Hg 0.3333 0.6667 0.6021
Hg4 Hg 0.6667 0.3333 0.3979
```



No. 8
The following is a calculated powder XRD pattern of La6SmHg. It was derived from a GGA-PBE-relaxed structure, using Cu Kα, 1.54184 Å.
Peak positions follow from Bragg's law for the DFT cell and can differ from measured ones.

Peak list (10 most intense, 2θ = 15–90°, in order of rising 2θ)
30.2°, I = 100
34.6°, I = 17
35.2°, I = 33
50.2°, I = 24
50.6°, I = 12
59.3°, I = 15
60.0°, I = 28
62.7°, I = 12
81.6°, I = 12
82.3°, I = 6

Crystal structure
```
data_La6SmHg
_symmetry_space_group_name_H-M 'P 1'
_symmetry_Int_Tables_number 1
_cell_length_a 5.1049
_cell_length_b 5.1049
_cell_length_c 10.3672
_cell_angle_alpha 90.00
_cell_angle_beta 90.00
_cell_angle_gamma 90.00
loop_
_symmetry_equiv_pos_as_xyz
'x,y,z'
loop_
_atom_site_label
_atom_site_type_symbol
_atom_site_fract_x
_atom_site_fract_y
_atom_site_fract_z
La1 La 0.0000 0.0000 0.0000
La2 La 0.0000 0.0000 0.5000
La3 La 0.0000 0.5000 0.2450
La4 La 0.0000 0.5000 0.7550
La5 La 0.5000 0.0000 0.2450
La6 La 0.5000 0.0000 0.7550
Sm1 Sm 0.5000 0.5000 0.5000
Hg1 Hg 0.5000 0.5000 0.0000
```



No. 9
The following is a calculated powder XRD pattern of La5Sm2Hg. It was derived from a GGA-PBE-relaxed structure, using Cu Kα, 1.54184 Å.
Peak positions follow from Bragg's law for the DFT cell and can differ from measured ones.

Peak list (10 most intense, 2θ = 15–90°, in order of rising 2θ)
30.3°, I = 100
35.0°, I = 34
35.5°, I = 16
50.4°, I = 12
50.7°, I = 24
60.0°, I = 29
60.6°, I = 14
63.1°, I = 12
82.0°, I = 6
82.6°, I = 12

Crystal structure
```
data_La5Sm2Hg
_symmetry_space_group_name_H-M 'P 1'
_symmetry_Int_Tables_number 1
_cell_length_a 7.2030
_cell_length_b 7.1963
_cell_length_c 7.2454
_cell_angle_alpha 59.84
_cell_angle_beta 59.74
_cell_angle_gamma 60.42
loop_
_symmetry_equiv_pos_as_xyz
'x,y,z'
loop_
_atom_site_label
_atom_site_type_symbol
_atom_site_fract_x
_atom_site_fract_y
_atom_site_fract_z
La1 La 0.0000 0.0000 0.0000
La2 La 0.9995 0.5003 0.0005
La3 La 0.5003 0.9995 0.4997
La4 La 0.5001 0.9986 0.0014
La5 La 0.9986 0.5001 0.4999
Sm1 Sm 0.9996 0.9996 0.5004
Sm2 Sm 0.4996 0.4996 0.0004
Hg1 Hg 0.4990 0.4990 0.5010
```



No. 10
The following is a calculated powder XRD pattern of La2Sm3Hg2. It was derived from a GGA-PBE-relaxed structure, using Cu Kα, 1.54184 Å.
Peak positions follow from Bragg's law for the DFT cell and can differ from measured ones.

Peak list (10 most intense, 2θ = 15–90°, in order of rising 2θ)
15.3°, I = 37
28.1°, I = 53
28.6°, I = 73
30.3°, I = 49
31.6°, I = 67
32.1°, I = 41
33.3°, I = 100
36.6°, I = 41
37.1°, I = 64
58.0°, I = 30

Crystal structure
```
data_La2Sm3Hg2
_symmetry_space_group_name_H-M 'P 1'
_symmetry_Int_Tables_number 1
_cell_length_a 6.5820
_cell_length_b 6.5820
_cell_length_c 8.4173
_cell_angle_alpha 112.59
_cell_angle_beta 112.59
_cell_angle_gamma 43.26
loop_
_symmetry_equiv_pos_as_xyz
'x,y,z'
loop_
_atom_site_label
_atom_site_type_symbol
_atom_site_fract_x
_atom_site_fract_y
_atom_site_fract_z
La1 La 0.1373 0.1373 0.2929
La2 La 0.8627 0.8627 0.7071
Sm1 Sm 0.3700 0.3700 0.0381
Sm2 Sm 0.5000 0.5000 0.5000
Sm3 Sm 0.6300 0.6300 0.9619
Hg1 Hg 0.1485 0.1485 0.7017
Hg2 Hg 0.8515 0.8515 0.2983
```



No. 11
The following is a calculated powder XRD pattern of La3Sm3Hg2. It was derived from a GGA-PBE-relaxed structure, using Cu Kα, 1.54184 Å.
Peak positions follow from Bragg's law for the DFT cell and can differ from measured ones.

Peak list (10 most intense, 2θ = 15–90°, in order of rising 2θ)
28.7°, I = 91
29.9°, I = 47
32.4°, I = 100
33.2°, I = 52
33.8°, I = 66
37.0°, I = 31
39.4°, I = 21
45.8°, I = 23
51.0°, I = 22
59.6°, I = 22

Crystal structure
```
data_La3Sm3Hg2
_symmetry_space_group_name_H-M 'P 1'
_symmetry_Int_Tables_number 1
_cell_length_a 6.6254
_cell_length_b 6.6254
_cell_length_c 16.2309
_cell_angle_alpha 90.00
_cell_angle_beta 90.00
_cell_angle_gamma 132.85
loop_
_symmetry_equiv_pos_as_xyz
'x,y,z'
loop_
_atom_site_label
_atom_site_type_symbol
_atom_site_fract_x
_atom_site_fract_y
_atom_site_fract_z
La1 La 0.0396 0.9604 0.6111
La2 La 0.0396 0.9604 0.8889
La3 La 0.2952 0.7048 0.7500
La4 La 0.7048 0.2952 0.2500
La5 La 0.9604 0.0396 0.1111
La6 La 0.9604 0.0396 0.3889
Sm1 Sm 0.3605 0.6395 0.5326
Sm2 Sm 0.3605 0.6395 0.9674
Sm3 Sm 0.4276 0.5724 0.2500
Sm4 Sm 0.5724 0.4276 0.7500
Sm5 Sm 0.6395 0.3605 0.0326
Sm6 Sm 0.6395 0.3605 0.4674
Hg1 Hg 0.2297 0.7703 0.1261
Hg2 Hg 0.2297 0.7703 0.3739
Hg3 Hg 0.7703 0.2297 0.6261
Hg4 Hg 0.7703 0.2297 0.8739
```



No. 12
The following is a calculated powder XRD pattern of La5SmHg. It was derived from a GGA-PBE-relaxed structure, using Cu Kα, 1.54184 Å.
Peak positions follow from Bragg's law for the DFT cell and can differ from measured ones.

Peak list (10 most intense, 2θ = 15–90°, in order of rising 2θ)
23.3°, I = 19
28.1°, I = 38
30.2°, I = 43
31.0°, I = 36
31.6°, I = 48
32.1°, I = 67
32.2°, I = 100
36.8°, I = 14
57.3°, I = 15
57.4°, I = 15

Crystal structure
```
data_La5SmHg
_symmetry_space_group_name_H-M 'P 1'
_symmetry_Int_Tables_number 1
_cell_length_a 6.5534
_cell_length_b 6.5534
_cell_length_c 11.9300
_cell_angle_alpha 102.23
_cell_angle_beta 102.23
_cell_angle_gamma 94.33
loop_
_symmetry_equiv_pos_as_xyz
'x,y,z'
loop_
_atom_site_label
_atom_site_type_symbol
_atom_site_fract_x
_atom_site_fract_y
_atom_site_fract_z
La1 La 0.0201 0.3991 0.8524
La2 La 0.1265 0.8735 0.7500
La3 La 0.2203 0.5497 0.4667
La4 La 0.3991 0.0201 0.3524
La5 La 0.4503 0.7797 0.0333
La6 La 0.5497 0.2203 0.9667
La7 La 0.6009 0.9799 0.6476
La8 La 0.7797 0.4503 0.5333
La9 La 0.8735 0.1265 0.2500
La10 La 0.9799 0.6009 0.1476
Sm1 Sm 0.4930 0.5070 0.7500
Sm2 Sm 0.5070 0.4930 0.2500
Hg1 Hg 0.0000 0.0000 0.0000
Hg2 Hg 0.0000 0.0000 0.5000
```